No. 1
For Pr2MgTi2S2O5, the PBE geometry in the Materials Project gives the simulated powder X-ray diffraction pattern in this record (Cu Ka).
Lines closer than 0.1° are merged.

Crystal structure
Lattice parameters (Å, degrees): 14.333 14.333 14.333 164.44 164.44 22.08
Positions (direct):
1 Pr 0.137 0.137 0.000
2 Pr 0.863 0.863 0.000
3 Mg 0.750 0.250 0.500
4 Ti 0.435 0.435 0.000
5 Ti 0.565 0.565 0.000
6 S 0.306 0.306 0.000
7 S 0.694 0.694 0.000
8 O 0.088 0.588 0.500
9 O 0.412 0.912 0.500
10 O 0.500 0.500 0.000
11 O 0.589 0.089 0.500
12 O 0.911 0.411 0.500

The 12 most intense peaks (10° ≤ 2θ ≤ 80°), by angle:
2θ (°)  Rel. int.
12.58  100
24.83  64
27.93  22
32.06  94
32.63  40
35.10  27
37.99  14
42.32  30
46.81  31
53.70  15
57.86  33
64.92  16

***

No. 2
For CsNb2S4, the PBE geometry in the Materials Project gives the simulated powder X-ray diffraction pattern in this record (Cu Ka).
Lines closer than 0.1° are merged.

Crystal structure
Lattice parameters (Å, degrees): 5.853 17.531 3.481 90.00 90.00 90.00
Positions (direct):
1 Cs 0.000 0.000 0.000
2 Cs 0.500 0.500 0.500
3 Nb 0.001 0.250 0.000
4 Nb 0.499 0.750 0.500
5 Nb 0.501 0.250 0.500
6 Nb 0.999 0.750 0.000
7 S 0.165 0.338 0.500
8 S 0.166 0.162 0.500
9 S 0.334 0.662 0.000
10 S 0.335 0.838 0.000
11 S 0.665 0.162 0.000
12 S 0.666 0.338 0.000
13 S 0.834 0.838 0.500
14 S 0.835 0.662 0.500

The 12 most intense peaks (10° ≤ 2θ ≤ 80°), by angle:
2θ (°)  Rel. int.
10.09  68
15.96  47
20.26  46
21.49  24
29.87  50
30.55  20
36.36  100
36.93  45
51.71  30
52.15  16
53.88  25
65.99  16